Record 1
Computed PXRD pattern
Compound: MgTe2Mo2W2Se4S2
Radiation: a wavelength of 1.5418 Å
Structure: the PBE geometry in the Materials Project

Largest 12 diffraction maxima, in order of falling intensity, 10 to 80 degrees two-theta:
hkl 0 1 13, 40.45 deg, I = 100
hkl 0 1 8, 34.82 deg, I = 78
hkl 1 0 0, 30.98 deg, I = 65
hkl 0 0 6, 11.64 deg, I = 59
hkl 1 1 0, 55.07 deg, I = 43
hkl 1 0 5, 32.51 deg, I = 34
hkl 1 0 10, 36.83 deg, I = 33
hkl 1 0 15, 43.20 deg, I = 27
hkl 1 1 5, 56.06 deg, I = 23
hkl 0 1 14, 41.79 deg, I = 22
hkl 0 1 18, 47.75 deg, I = 19
hkl 2 0 13, 70.51 deg, I = 19

Structural model:
a b c (Å): 3.3354 3.3354 45.6096
angles (deg): 90.00 90.00 120.00
Space group P3m1 (No. 156)
Inequivalent atoms, fractional coordinates:
1 Mg 0.0000 0.0000 0.0000 [1 per cell]
2 Te 0.3333 0.6667 0.2347 [1 per cell]
3 Te 0.3333 0.6667 0.3180 [1 per cell]
4 Mo 0.3333 0.6667 0.7124 [1 per cell]
5 Mo 0.6667 0.3333 0.2764 [1 per cell]
6 W 0.3333 0.6667 0.0952 [1 per cell]
7 W 0.6667 0.3333 0.8928 [1 per cell]
8 Se 0.3333 0.6667 0.8560 [1 per cell]
9 Se 0.3333 0.6667 0.9298 [1 per cell]
10 Se 0.6667 0.3333 0.6757 [1 per cell]
11 Se 0.6667 0.3333 0.7490 [1 per cell]
12 S 0.6667 0.3333 0.0615 [1 per cell]
13 S 0.6667 0.3333 0.1284 [1 per cell]

***

Record 2
Computed PXRD pattern
Compound: GaCuTe2
Radiation: a wavelength of 1.5418 Å
Structure: the PBE geometry in the Materials Project

Largest 12 diffraction maxima, in order of falling intensity, 10 to 80 degrees two-theta:
hkl 1 1 2, 25.36 deg, I = 100
hkl 2 0 4, 42.01 deg, I = 71
hkl 1 1 6, 49.71 deg, I = 46
hkl 2 2 8, 76.75 deg, I = 23
hkl 3 1 6, 67.06 deg, I = 18
hkl 4 0 0, 60.87 deg, I = 8
hkl 0 0 4, 29.36 deg, I = 7
hkl 0 0 8, 60.99 deg, I = 4
hkl 2 2 4, 52.08 deg, I = 2
hkl 4 0 4, 69.01 deg, I = 1
hkl 2 0 8, 69.11 deg, I = 1
hkl 2 1 1, 33.74 deg, I = 1

Structural model:
a b c (Å): 6.087 6.087 12.153
angles (deg): 90.00 90.00 90.00
Space group I-42d (No. 122)
Inequivalent atoms, fractional coordinates:
1 Ga 0.000 0.000 0.000 [4 per cell]
2 Cu 0.000 0.000 0.500 [4 per cell]
3 Te 0.237 0.250 0.625 [8 per cell]

***

Record 3
Computed PXRD pattern
Compound: ErMn6Ga6
Radiation: a wavelength of 1.5418 Å
Structure: the PBE geometry in the Materials Project

Largest 12 diffraction maxima, in order of falling intensity, 10 to 80 degrees two-theta:
hkl 0 4 4, 40.41 deg, I = 100
hkl 2 2 2, 42.16 deg, I = 51
hkl 1 3 1, 29.04 deg, I = 30
hkl 1 5 1, 41.23 deg, I = 28
hkl 1 1 3, 28.69 deg, I = 22
hkl 1 3 3, 35.30 deg, I = 19
hkl 0 2 4, 31.43 deg, I = 16
hkl 2 0 4, 46.79 deg, I = 15
hkl 2 4 0, 47.26 deg, I = 15
hkl 2 0 0, 36.79 deg, I = 14
hkl 2 6 6, 74.66 deg, I = 13
hkl 1 3 9, 72.95 deg, I = 12

Structural model:
a b c (Å): 4.886 12.478 12.793
angles (deg): 90.00 90.00 90.00
Space group Fmmm (No. 69)
Inequivalent atoms, fractional coordinates:
1 Er 0.000 0.000 0.000 [4 per cell]
2 Mn 0.000 0.175 0.175 [16 per cell]
3 Mn 0.250 0.250 0.000 [8 per cell]
4 Ga 0.000 0.131 0.380 [16 per cell]
5 Ga 0.250 0.000 0.250 [8 per cell]

***

Record 4
Computed PXRD pattern
Compound: KEuHfTiO6
Radiation: a wavelength of 1.5418 Å
Structure: the PBE geometry in the Materials Project

Largest 12 diffraction maxima, in order of falling intensity, 10 to 80 degrees two-theta:
hkl 2 2 0, 31.56 deg, I = 100
hkl 1 1 1, 19.18 deg, I = 41
hkl 4 2 2, 56.21 deg, I = 39
hkl 4 0 0, 45.24 deg, I = 32
hkl 3 1 1, 37.20 deg, I = 26
hkl 4 4 0, 65.91 deg, I = 19
hkl 6 2 0, 74.91 deg, I = 17
hkl 3 3 1, 49.56 deg, I = 12
hkl 3 3 3, 59.96 deg, I = 9
hkl 5 3 1, 69.35 deg, I = 9
hkl 2 0 0, 22.18 deg, I = 4
hkl 5 3 3, 78.18 deg, I = 3

Structural model:
a b c (Å): 8.017 8.017 8.017
angles (deg): 90.00 90.00 90.00
Space group F-43m (No. 216)
Inequivalent atoms, fractional coordinates:
1 K 0.000 0.000 0.000 [4 per cell]
2 Eu 0.000 0.000 0.500 [4 per cell]
3 Hf 0.250 0.250 0.250 [4 per cell]
4 Ti 0.250 0.250 0.750 [4 per cell]
5 O 0.006 0.250 0.750 [24 per cell]

***

Record 5
Computed PXRD pattern
Compound: UPBrO6
Radiation: a wavelength of 1.5418 Å
Structure: the PBE geometry in the Materials Project

Largest 12 diffraction maxima, in order of falling intensity, 10 to 80 degrees two-theta:
hkl 2 1 1, 19.50 deg, I = 100
hkl 1 3 0, 21.09 deg, I = 59
hkl 1 1 2, 26.99 deg, I = 28
hkl 2 5 1, 38.56 deg, I = 24
hkl 2 1 3, 41.27 deg, I = 23
hkl 3 3 0, 28.42 deg, I = 20
hkl 4 0 0, 26.77 deg, I = 17
hkl 2 0 2, 28.64 deg, I = 16
hkl 0 0 2, 25.25 deg, I = 15
hkl 3 2 1, 27.24 deg, I = 15
hkl 4 0 2, 37.13 deg, I = 14
hkl 6 1 1, 43.25 deg, I = 14

Structural model:
a b c (Å): 13.323 13.323 7.054
angles (deg): 90.00 90.00 90.00
Space group I-4 (No. 82)
Inequivalent atoms, fractional coordinates:
1 U 0.132 0.339 0.498 [8 per cell]
2 P 0.137 0.699 0.500 [8 per cell]
3 Br 0.013 0.084 0.235 [8 per cell]
4 O 0.020 0.717 0.495 [8 per cell]
5 O 0.031 0.572 0.001 [8 per cell]
6 O 0.114 0.763 0.011 [8 per cell]
7 O 0.141 0.329 0.177 [8 per cell]
8 O 0.143 0.333 0.818 [8 per cell]
9 O 0.184 0.807 0.499 [8 per cell]

***

Record 6
Computed PXRD pattern
Compound: CsMg6CO8
Radiation: a wavelength of 1.5418 Å
Structure: the PBE geometry in the Materials Project

Largest 12 diffraction maxima, in order of falling intensity, 10 to 80 degrees two-theta:
hkl 2 0 0, 39.39 deg, I = 100
hkl 1 0 1, 21.88 deg, I = 61
hkl 0 0 1, 10.01 deg, I = 61
hkl 2 0 4, 58.03 deg, I = 52
hkl 0 0 4, 40.82 deg, I = 47
hkl 1 1 2, 34.36 deg, I = 43
hkl 1 1 1, 29.40 deg, I = 37
hkl 2 2 0, 56.93 deg, I = 30
hkl 1 0 3, 36.27 deg, I = 28
hkl 1 0 0, 19.40 deg, I = 28
hkl 1 0 2, 28.07 deg, I = 25
hkl 2 2 4, 72.41 deg, I = 23

Structural model:
a b c (Å): 4.575 4.575 8.839
angles (deg): 90.00 90.00 90.00
Space group P4/mmm (No. 123)
Inequivalent atoms, fractional coordinates:
1 Cs 0.000 0.000 0.000 [1 per cell]
2 Mg 0.000 0.500 0.272 [4 per cell]
3 Mg 0.500 0.500 0.000 [1 per cell]
4 Mg 0.500 0.500 0.500 [1 per cell]
5 C 0.000 0.000 0.500 [1 per cell]
6 O 0.000 0.000 0.293 [2 per cell]
7 O 0.000 0.500 0.000 [2 per cell]
8 O 0.000 0.500 0.500 [2 per cell]
9 O 0.500 0.500 0.253 [2 per cell]